(1)
Computed XRD peak list
Compound: Rb4AsF
Radiation: CuKα
Structure: DFT lattice parameters and positions (PBE)

Atomic structure:
```
12
Lattice="7.102 0.000 0.000 0.000 11.214 0.000 -0.942 0.000 7.053" Properties=species:S:1:pos:R:3 pbc="T T T"
Rb 0.722 2.803 1.802
Rb 1.407 8.410 2.569
Rb 1.413 0.681 5.698
Rb 1.413 4.926 5.698
Rb 4.747 6.288 1.356
Rb 4.747 10.533 1.356
Rb 4.754 2.803 4.484
Rb 5.438 8.410 5.251
As 1.871 8.410 6.200
As 4.289 2.803 0.853
F 0.311 2.803 4.430
F 5.849 8.410 2.623
```

Top 6 peaks for 2θ = 5–70°, by angle:
2theta	d (Å)	Rel. int.
24.8	3.594	77.7
25.3	3.523	69.5
26.5	3.361	45.3
26.7	3.333	74.0
27.0	3.302	100.0
35.0	2.564	92.1

***

(2)
Computed XRD peak list
Compound: ErPd6Au23
Radiation: CuKα
Structure: DFT lattice parameters and positions (PBE)

Atomic structure:
```
30
Lattice="-4.071 4.071 8.288 4.071 -4.071 8.288 4.071 4.071 -8.288" Properties=species:S:1:pos:R:3 pbc="T T T"
Er 0.000 0.000 0.000
Pd 2.017 2.017 0.000
Pd 2.054 -2.054 8.288
Pd 0.000 0.000 4.124
Pd 0.000 0.000 12.452
Pd -2.054 2.054 8.288
Pd 2.054 2.054 8.288
Au 2.036 2.036 -4.144
Au 2.036 -2.036 4.144
Au 4.071 0.000 0.000
Au 4.071 2.040 -2.093
Au 4.071 -1.993 6.159
Au 2.079 0.000 2.129
Au 6.064 0.000 2.129
Au 2.040 4.071 -2.093
Au 2.031 0.000 6.195
Au 4.071 2.040 2.093
Au 0.000 2.079 2.129
Au -2.036 2.036 4.144
Au 0.000 4.071 0.000
Au 0.000 0.000 8.288
Au 2.036 2.036 4.144
Au 4.071 1.993 6.159
Au 0.000 2.031 6.195
Au 2.040 4.071 2.093
Au 2.031 0.000 10.381
Au -1.993 4.071 6.159
Au 1.993 4.071 6.159
Au 0.000 6.064 2.129
Au 0.000 2.031 10.381
```

Top 6 peaks for 2θ = 5–70°, by angle:
2theta	d (Å)	Rel. int.
24.4	3.654	8.6
38.1	2.364	100.0
43.7	2.072	16.9
44.5	2.036	32.3
64.1	1.452	21.8
64.8	1.439	10.7

***

(3)
Computed XRD peak list
Compound: ThSn2F8
Radiation: CuKα
Structure: DFT lattice parameters and positions (PBE)

Atomic structure:
```
11
Lattice="7.515 -2.051 0.000 7.515 2.051 0.000 -2.216 0.000 5.590" Properties=species:S:1:pos:R:3 pbc="T T T"
Th 0.000 0.000 0.000
Sn 3.941 0.000 1.835
Sn 8.874 0.000 3.755
F 0.495 0.000 2.225
F 0.140 0.000 5.576
F 2.698 0.000 3.708
F 6.750 0.000 0.978
F 6.065 0.000 4.612
F 10.117 0.000 1.882
F 12.675 0.000 0.013
F 12.320 0.000 3.365
```

Top 6 peaks for 2θ = 5–70°, by angle:
2theta	d (Å)	Rel. int.
23.8	3.743	67.5
24.6	3.622	50.7
26.3	3.388	100.0
29.0	3.078	63.6
41.5	2.175	41.3
50.7	1.800	41.6

***

(4)
Computed XRD peak list
Compound: Mn3Al9Si
Radiation: CuKα
Structure: DFT lattice parameters and positions (PBE)

Atomic structure:
```
26
Lattice="7.497 0.000 0.000 -3.748 6.492 0.000 0.000 0.000 7.639" Properties=species:S:1:pos:R:3 pbc="T T T"
Mn 0.000 1.548 1.910
Mn -2.407 5.718 1.910
Mn 1.341 0.774 5.730
Mn 2.407 5.718 1.910
Mn 6.156 0.774 5.730
Mn 3.748 4.944 5.730
Al -1.395 3.523 1.910
Al 0.000 2.600 4.312
Al 0.000 2.600 7.148
Al -1.496 5.192 4.312
Al -1.496 5.192 7.148
Al 2.252 1.300 0.492
Al 2.252 1.300 3.328
Al 1.395 3.523 1.910
Al 0.000 5.938 1.910
Al 3.748 0.554 5.730
Al 2.354 2.969 5.730
Al 1.496 5.192 4.312
Al 1.496 5.192 7.148
Al 5.245 1.300 0.492
Al 5.245 1.300 3.328
Al 3.748 3.892 0.492
Al 3.748 3.892 3.328
Al 5.143 2.969 5.730
Si 0.000 0.000 0.000
Si 0.000 0.000 3.820
```

Top 6 peaks for 2θ = 5–70°, by angle:
2theta	d (Å)	Rel. int.
13.6	6.492	89.7
38.0	2.371	31.0
41.7	2.164	23.5
43.5	2.082	100.0
43.9	2.065	86.5
45.3	2.004	59.1

***

(5)
Computed XRD peak list
Compound: Er8Co2Tc
Radiation: CuKα
Structure: DFT lattice parameters and positions (PBE)

Atomic structure:
```
11
Lattice="4.070 -6.156 0.000 4.070 6.156 0.000 -1.752 0.000 5.402" Properties=species:S:1:pos:R:3 pbc="T T T"
Er 0.000 0.000 0.000
Er 0.260 1.586 3.248
Er 2.651 2.692 1.029
Er 0.260 -1.586 3.248
Er 3.215 1.583 4.255
Er 2.651 -2.692 1.029
Er 3.215 -1.583 4.255
Er 5.237 0.000 2.029
Co 1.727 3.817 3.703
Co 1.727 -3.817 3.703
Tc 2.787 0.000 0.500
```

Top 6 peaks for 2θ = 5–70°, by angle:
2theta	d (Å)	Rel. int.
31.6	2.828	32.6
32.4	2.766	100.0
33.5	2.674	60.3
34.3	2.611	49.0
37.3	2.409	32.0
40.5	2.230	33.5

***

(6)
Computed XRD peak list
Compound: RbCu2W
Radiation: CuKα
Structure: DFT lattice parameters and positions (PBE)

Atomic structure:
```
8
Lattice="-2.565 2.565 8.660 2.565 -2.565 8.660 2.565 2.565 -8.660" Properties=species:S:1:pos:R:3 pbc="T T T"
Rb 2.565 1.282 2.165
Rb 0.000 1.282 6.495
Cu 0.000 0.000 0.000
Cu 1.282 1.282 -4.330
Cu 1.282 -1.282 4.330
Cu 0.000 2.565 0.000
W 2.565 -1.282 6.495
W 0.000 3.847 2.165
```

Top 6 peaks for 2θ = 5–70°, by angle:
2theta	d (Å)	Rel. int.
18.0	4.919	64.9
26.6	3.346	100.0
35.0	2.565	24.6
39.9	2.259	34.2
40.9	2.207	31.9
54.9	1.673	30.5

***

(7)
Computed XRD peak list
Compound: SrTe2P
Radiation: CuKα
Structure: DFT lattice parameters and positions (PBE)

Atomic structure:
```
4
Lattice="4.792 0.000 0.000 0.000 4.658 0.000 -2.299 0.000 6.011" Properties=species:S:1:pos:R:3 pbc="T T T"
Sr 0.000 0.000 0.000
Te 0.281 0.000 3.468
Te 2.439 2.329 0.732
P -0.670 2.329 4.326
```

Top 6 peaks for 2θ = 5–70°, by angle:
2theta	d (Å)	Rel. int.
24.2	3.682	38.1
27.6	3.228	38.0
27.8	3.209	100.0
28.8	3.099	35.7
29.7	3.006	35.8
49.5	1.841	34.9

***

(8)
Computed XRD peak list
Compound: Bi5IO7
Radiation: CuKα
Structure: DFT lattice parameters and positions (PBE)

Atomic structure:
```
52
Lattice="-2.746 8.335 11.889 2.746 -8.335 11.889 2.746 8.335 -11.889" Properties=species:S:1:pos:R:3 pbc="T T T"
Bi 2.984 1.286 -1.443
Bi 2.746 4.167 -4.828
Bi 2.957 7.121 -7.362
Bi -0.238 1.286 1.443
Bi 2.957 -1.214 7.362
Bi 2.957 1.214 4.527
Bi 2.509 7.048 -1.443
Bi 0.210 1.214 7.362
Bi 0.000 4.167 4.828
Bi 0.238 7.048 1.443
Bi 2.509 1.286 10.445
Bi 2.746 4.167 7.061
Bi 2.536 7.121 4.527
Bi 0.238 1.286 13.332
Bi -0.210 7.121 7.362
Bi -0.210 9.548 4.527
Bi 2.984 7.048 10.445
Bi -0.210 1.214 19.251
Bi 0.000 4.167 16.717
Bi -0.238 7.048 13.332
I 2.746 -4.167 9.612
I 2.746 4.167 2.277
I 0.000 4.167 9.612
I 0.000 12.502 2.277
O 0.445 -0.743 1.166
O 1.281 -2.821 5.865
O 4.028 -2.821 6.024
O 2.312 -0.953 3.559
O 3.192 0.743 1.166
O 2.312 9.288 -8.330
O 4.118 0.000 5.944
O 1.371 0.000 5.944
O 2.312 7.381 -3.559
O 0.445 7.592 -1.166
O 2.312 0.953 8.330
O 4.028 2.821 5.865
O 1.281 2.821 6.024
O 0.445 0.743 10.723
O 2.301 7.592 1.166
O 1.465 5.513 5.865
O -1.281 5.513 6.024
O 0.434 7.381 3.559
O 2.301 0.743 13.055
O 0.434 0.953 15.448
O -1.371 8.335 5.944
O 1.375 8.335 5.944
O 0.434 -0.953 20.219
O -0.445 7.592 10.723
O 0.434 9.288 8.330
O -1.281 11.156 5.865
O 1.465 11.156 6.024
O 2.301 9.078 10.723
```

Top 6 peaks for 2θ = 5–70°, by angle:
2theta	d (Å)	Rel. int.
27.3	3.265	100.0
30.1	2.972	15.8
32.2	2.779	24.4
32.6	2.746	16.4
46.5	1.953	13.2
54.5	1.683	15.2